# Sr3Li3La5O12
Computed powder diffraction line list, a wavelength of 1.5418 Å. Input: a DFT-relaxed cell (PBE, the Materials Project).
No peak broadening, texture or thermal motion is included.

Structural model:
Cell: 6.945 3.594 13.656 Å, 90.00 90.19 90.00°
Space group Pm (No. 6)
One atom of each set of equivalent atoms:
Sr 0.000 0.000 0.000 (multiplicity 1)
Sr 0.168 0.500 0.550 (multiplicity 1)
Sr 0.480 0.000 0.049 (multiplicity 1)
Li 0.457 0.000 0.636 (multiplicity 1)
Li 0.704 0.500 0.906 (multiplicity 1)
Li 0.963 0.000 0.399 (multiplicity 1)
La 0.322 0.500 0.810 (multiplicity 1)
La 0.324 0.000 0.298 (multiplicity 1)
La 0.665 0.500 0.483 (multiplicity 1)
La 0.832 0.500 0.224 (multiplicity 1)
La 0.833 0.000 0.730 (multiplicity 1)
O 0.044 0.000 0.185 (multiplicity 1)
O 0.090 0.500 0.370 (multiplicity 1)
O 0.207 0.000 0.701 (multiplicity 1)
O 0.268 0.500 0.976 (multiplicity 1)
O 0.412 0.000 0.493 (multiplicity 1)
O 0.464 0.500 0.212 (multiplicity 1)
O 0.571 0.000 0.858 (multiplicity 1)
O 0.593 0.500 0.661 (multiplicity 1)
O 0.710 0.000 0.345 (multiplicity 1)
O 0.757 0.500 0.046 (multiplicity 1)
O 0.888 0.000 0.543 (multiplicity 1)
O 0.941 0.500 0.829 (multiplicity 1)

Main lines, low angle first (2θ from 10° to 90°):
index  d (Å)  two_theta  intensity
0 0 4  3.414  26.1  31
1 1 1  3.106  28.7  100
2 0 2  3.091  28.9  30
1 0 -4  3.064  29.1  36
0 1 3  2.821  31.7  47
2 1 2  2.345  38.4  23